Entry 1:
# Zr3Sb4Pt4
Calculated powder XRD pattern, Cu Kα X-rays. Input: a cell relaxed with GGA-PBE.

Atomic structure:
a b c (Å): 6.4063 6.4063 12.5844
angles (deg): 90.00 90.00 90.00
Space group I-42m (No. 121)
Symmetry-distinct sites (fractional):
Zr1 0.0000 0.0000 0.0000 x2
Zr2 0.0000 0.5000 0.2500 x4
Sb1 0.0000 0.0000 0.2662 x4
Sb2 0.0000 0.5000 0.0000 x4
Pt1 0.2356 0.2356 0.8695 x8

Largest 6 diffraction maxima, most intense first, 2θ = 10–80°:
| 2theta | Rel. int. | h k l |
| --- | --- | --- |
| 24.21 | 100 | 1 1 2 |
| 40.18 | 97 | 2 0 4 |
| 39.80 | 51 | 2 2 0 |
| 47.13 | 32 | 3 1 2 |
| 72.50 | 32 | 4 2 4 |
| 47.79 | 18 | 1 1 6 |

Entry 2:
# Sc2PtSe4
Calculated powder XRD pattern, Cu Kα X-rays. Input: a cell relaxed with GGA-PBE.

Atomic structure:
a b c (Å): 10.9984 10.9984 10.9984
angles (deg): 90.00 90.00 90.00
Space group Fd-3m (No. 227, origin choice 2)
Symmetry-distinct sites (fractional):
Sc1 0.0000 0.0000 0.0000 x16
Pt1 0.1250 0.1250 0.6250 x8
Se1 0.0049 0.0049 0.2451 x32

Largest 6 diffraction maxima, most intense first, 2θ = 10–80°:
| 2theta | Rel. int. | h k l |
| --- | --- | --- |
| 46.72 | 100 | 4 4 0 |
| 26.89 | 79 | 3 1 1 |
| 22.87 | 70 | 2 2 0 |
| 28.11 | 40 | 2 2 2 |
| 42.72 | 39 | 5 1 1 |
| 40.17 | 32 | 4 2 2 |

Entry 3:
# Sc5Si7Pt9
Calculated powder XRD pattern, Cu Kα X-rays. Input: a cell relaxed with GGA-PBE.

Atomic structure:
a b c (Å): 10.0120 10.0120 3.9120
angles (deg): 90.00 90.00 120.00
Space group P-6 (No. 174)
Symmetry-distinct sites (fractional):
Sc1 0.0000 0.0000 0.0000 x1
Sc2 0.2082 0.7706 0.0000 x3
Sc3 0.6667 0.3333 0.5000 x1
Si1 0.0196 0.2391 0.5000 x3
Si2 0.3333 0.6667 0.5000 x1
Si3 0.4768 0.3832 0.0000 x3
Pt1 0.0492 0.5051 0.5000 x3
Pt2 0.2516 0.2327 0.5000 x3
Pt3 0.3846 0.1152 0.0000 x3

Largest 6 diffraction maxima, most intense first, 2θ = 10–80°:
| 2theta | Rel. int. | h k l |
| --- | --- | --- |
| 35.74 | 100 | 2 1 1 |
| 17.72 | 27 | 1 1 0 |
| 27.21 | 27 | 2 1 0 |
| 47.98 | 25 | 4 0 1 |
| 44.21 | 23 | 1 3 1 |
| 45.61 | 23 | 3 2 0 |

Entry 4:
# Sc2ZnPt
Calculated powder XRD pattern, Cu Kα X-rays. Input: a cell relaxed with GGA-PBE.

Atomic structure:
a b c (Å): 4.6889 14.0671 6.6316
angles (deg): 90.00 90.00 90.00
Space group Pnnm (No. 58)
Symmetry-distinct sites (fractional):
Sc1 0.0000 0.0000 0.2500 x4
Sc2 0.0008 0.3333 0.2500 x8
Zn1 0.0000 0.5000 0.0000 x2
Zn2 0.0017 0.1667 0.0000 x4
Pt1 0.0000 0.5000 0.5000 x2
Pt2 0.0008 0.8333 0.5000 x4

Largest 6 diffraction maxima, most intense first, 2θ = 10–80°:
| 2theta | Rel. int. | h k l |
| --- | --- | --- |
| 38.39 | 100 | 2 0 0 |
| 69.43 | 33 | 3 3 2 |
| 26.89 | 30 | 1 3 0 |
| 23.23 | 28 | 1 0 1 |
| 55.42 | 17 | 2 6 0 |
| 45.36 | 15 | 2 3 1 |

Entry 5:
# Sc2ZnPt
Calculated powder XRD pattern, Cu Kα X-rays. Input: a cell relaxed with GGA-PBE.

Atomic structure:
a b c (Å): 6.5835 6.7084 6.5839
angles (deg): 90.00 90.00 90.00
Space group Imma (No. 74)
Symmetry-distinct sites (fractional):
Sc1 0.2500 0.9996 0.2500 x8
Zn1 0.0000 0.2500 0.0008 x4
Pt1 0.0000 0.2500 0.4988 x4

Largest 6 diffraction maxima, most intense first, 2θ = 10–80°:
| 2theta | Rel. int. | h k l |
| --- | --- | --- |
| 38.31 | 100 | 2 2 0 |
| 38.68 | 49 | 2 0 2 |
| 69.76 | 33 | 4 2 2 |
| 19.06 | 33 | 1 0 1 |
| 27.09 | 29 | 2 0 0 |
| 32.91 | 17 | 1 2 1 |

Entry 6:
# Pt9Se8
Calculated powder XRD pattern, Cu Kα X-rays. Input: a cell relaxed with GGA-PBE.

Atomic structure:
a b c (Å): 11.2918 11.2918 11.2918
angles (deg): 90.00 90.00 90.00
Space group Fm-3m (No. 225)
Symmetry-distinct sites (fractional):
Pt1 0.0000 0.0000 0.0000 x4
Pt2 0.1246 0.1246 0.3754 x32
Se1 0.0000 0.0000 0.2338 x24
Se2 0.2500 0.2500 0.2500 x8

Largest 6 diffraction maxima, most intense first, 2θ = 10–80°:
| 2theta | Rel. int. | h k l |
| --- | --- | --- |
| 45.44 | 100 | 4 4 0 |
| 26.17 | 82 | 3 1 1 |
| 41.56 | 40 | 5 1 1 |
| 13.58 | 22 | 1 1 1 |
| 63.26 | 20 | 5 5 3 |
| 66.21 | 16 | 8 0 0 |

Entry 7:
# Sr2ZrPtSe6
Calculated powder XRD pattern, Cu Kα X-rays. Input: a cell relaxed with GGA-PBE.

Atomic structure:
a b c (Å): 6.8981 6.9275 6.9364
angles (deg): 64.48 64.78 64.24
Space group P-1 (No. 2)
Symmetry-distinct sites (fractional):
Sr1 0.2424 0.2458 0.2408 x2
Zr1 0.5000 0.5000 0.5000 x1
Pt1 0.0000 0.0000 0.0000 x1
Se1 0.1496 0.7631 0.3369 x2
Se2 0.2482 0.6672 0.8460 x2
Se3 0.3338 0.1536 0.7649 x2

Largest 6 diffraction maxima, most intense first, 2θ = 10–80°:
| 2theta | Rel. int. | h k l |
| --- | --- | --- |
| 35.56 | 100 | 2 2 0 |
| 29.21 | 66 | 1 0 2 |
| 17.57 | 49 | 1 1 0 |
| 25.83 | 49 | 1 1 2 |
| 42.50 | 47 | -2 1 1 |
| 35.80 | 45 | 2 0 2 |

Entry 8:
# Si5Pt6
Calculated powder XRD pattern, Cu Kα X-rays. Input: a cell relaxed with GGA-PBE.

Atomic structure:
a b c (Å): 6.2394 3.5450 15.5888
angles (deg): 90.00 93.52 90.00
Space group P2_1/m (No. 11)
Symmetry-distinct sites (fractional):
Si1 0.0539 0.2500 0.3808 x2
Si2 0.2223 0.7500 0.9268 x2
Si3 0.2313 0.7500 0.1651 x2
Si4 0.3135 0.2500 0.7797 x2
Si5 0.4352 0.2500 0.5645 x2
Pt1 0.0085 0.7500 0.7813 x2
Pt2 0.1483 0.2500 0.0521 x2
Pt3 0.1975 0.7500 0.4986 x2
Pt4 0.2797 0.7500 0.3217 x2
Pt5 0.3434 0.7500 0.6741 x2
Pt6 0.4724 0.2500 0.9230 x2

Largest 6 diffraction maxima, most intense first, 2θ = 10–80°:
| 2theta | Rel. int. | h k l |
| --- | --- | --- |
| 29.73 | 100 | 1 1 1 |
| 41.61 | 66 | 2 1 -3 |
| 45.00 | 57 | 1 1 -6 |
| 28.94 | 53 | 2 0 -1 |
| 41.88 | 52 | 1 1 5 |
| 31.56 | 36 | 1 1 2 |

Entry 9:
# TbSmSi2Pt
Calculated powder XRD pattern, Cu Kα X-rays. Input: a cell relaxed with GGA-PBE.

Atomic structure:
a b c (Å): 10.4517 4.3276 10.3255
angles (deg): 90.00 117.93 90.00
Space group C2/m (No. 12)
Symmetry-distinct sites (fractional):
Tb1 0.0091 0.0000 0.3275 x4
Sm1 0.1911 0.0000 0.1089 x4
Si1 0.0132 0.5000 0.8854 x4
Si2 0.1415 0.5000 0.5559 x4
Pt1 0.2291 0.5000 0.3459 x4

Largest 6 diffraction maxima, most intense first, 2θ = 10–80°:
| 2theta | Rel. int. | h k l |
| --- | --- | --- |
| 32.96 | 100 | 1 1 2 |
| 33.57 | 94 | 3 1 -2 |
| 41.73 | 64 | 0 2 0 |
| 40.79 | 62 | 3 1 1 |
| 26.89 | 50 | 1 1 -2 |
| 36.73 | 43 | 3 1 -3 |

Entry 10:
# SrSi4Pt4
Calculated powder XRD pattern, Cu Kα X-rays. Input: a cell relaxed with GGA-PBE.

Atomic structure:
a b c (Å): 8.4307 8.4307 4.6921
angles (deg): 90.00 90.00 90.00
Space group I4 (No. 79)
Symmetry-distinct sites (fractional):
Sr1 0.0000 0.0000 0.0000 x2
Si1 0.1152 0.6156 0.7045 x8
Pt1 0.1720 0.3228 0.7045 x8

Largest 6 diffraction maxima, most intense first, 2θ = 10–80°:
| 2theta | Rel. int. | h k l |
| --- | --- | --- |
| 30.41 | 100 | 2 1 1 |
| 48.57 | 53 | 1 4 1 |
| 33.62 | 38 | 1 3 0 |
| 21.08 | 31 | 2 0 0 |
| 61.12 | 22 | 3 3 2 |
| 64.48 | 20 | 3 5 0 |

Copy entry 10 word for word.
# SrSi4Pt4
Calculated powder XRD pattern, Cu Kα X-rays. Input: a cell relaxed with GGA-PBE.

Atomic structure:
a b c (Å): 8.4307 8.4307 4.6921
angles (deg): 90.00 90.00 90.00
Space group I4 (No. 79)
Symmetry-distinct sites (fractional):
Sr1 0.0000 0.0000 0.0000 x2
Si1 0.1152 0.6156 0.7045 x8
Pt1 0.1720 0.3228 0.7045 x8

Largest 6 diffraction maxima, most intense first, 2θ = 10–80°:
| 2theta | Rel. int. | h k l |
| --- | --- | --- |
| 30.41 | 100 | 2 1 1 |
| 48.57 | 53 | 1 4 1 |
| 33.62 | 38 | 1 3 0 |
| 21.08 | 31 | 2 0 0 |
| 61.12 | 22 | 3 3 2 |
| 64.48 | 20 | 3 5 0 |